(1)
NdSnAu5: theoretical powder XRD pattern (Cu Kα X-rays), based on a PBE-relaxed structure.
Peak positions follow from Bragg's law for the DFT cell and can differ from measured ones.

Cell and atoms:
```
data_NdSnAu5
_space_group_name_H-M_alt 'P n m a'
_space_group_IT_number 62
_space_group_name_Hall '-P 2ac 2n'
_cell_length_a 9.1966
_cell_length_b 5.7269
_cell_length_c 11.3051
_cell_angle_alpha 90.00
_cell_angle_beta 90.00
_cell_angle_gamma 90.00
loop_
_atom_site_label
_atom_site_type_symbol
_atom_site_fract_x
_atom_site_fract_y
_atom_site_fract_z
Nd1 Nd 0.2464 0.2500 0.0555
Sn1 Sn 0.1514 0.2500 0.3454
Au1 Au 0.0677 0.5075 0.7995
Au2 Au 0.0763 0.2500 0.5729
Au3 Au 0.0915 0.7500 0.0218
Au4 Au 0.1757 0.7500 0.2771
```

Largest 10 diffraction maxima, sorted by position, 2θ from 10° to 90°:
2θ (°), d (Å), I (rel.), index
33.2, 2.701, 75, 1 0 4
34.1, 2.629, 100, 3 1 1
34.5, 2.598, 51, 2 1 3
35.1, 2.554, 42, 0 2 2
37.9, 2.377, 78, 2 2 1
40.0, 2.253, 54, 4 0 1
40.6, 2.220, 36, 2 1 4
40.8, 2.213, 58, 1 2 3
41.1, 2.196, 40, 1 0 5
71.8, 1.314, 35, 6 2 2


(2)
Ba2CdIBr: theoretical powder XRD pattern (Cu Kα X-rays), based on a PBE-relaxed structure.
Peak positions follow from Bragg's law for the DFT cell and can differ from measured ones.

Cell and atoms:
```
data_Ba2CdIBr
_space_group_name_H-M_alt 'P 4/m m m'
_space_group_IT_number 123
_space_group_name_Hall '-P 4 2'
_cell_length_a 6.5820
_cell_length_b 6.5820
_cell_length_c 5.8636
_cell_angle_alpha 90.00
_cell_angle_beta 90.00
_cell_angle_gamma 90.00
loop_
_atom_site_label
_atom_site_type_symbol
_atom_site_fract_x
_atom_site_fract_y
_atom_site_fract_z
Ba1 Ba 0.0000 0.5000 0.0000
Cd1 Cd 0.0000 0.0000 0.0000
I1 I 0.5000 0.5000 0.5000
Br1 Br 0.0000 0.0000 0.5000
```

Largest 10 diffraction maxima, sorted by position, 2θ from 10° to 90°:
2θ (°), d (Å), I (rel.), index
20.3, 4.378, 29, 1 0 1
24.4, 3.645, 96, 1 1 1
27.1, 3.291, 100, 2 0 0
30.5, 2.932, 37, 0 0 2
38.7, 2.327, 38, 2 2 0
41.2, 2.189, 64, 2 0 2
46.3, 1.961, 34, 3 1 1
50.0, 1.823, 36, 2 2 2
63.2, 1.472, 18, 4 2 0
71.8, 1.315, 25, 4 2 2


(3)
LiPm2ScS5: theoretical powder XRD pattern (Cu Kα X-rays), based on a PBE-relaxed structure.
Peak positions follow from Bragg's law for the DFT cell and can differ from measured ones.

Cell and atoms:
```
data_LiPm2ScS5
_space_group_name_H-M_alt 'C m c 21'
_space_group_IT_number 36
_space_group_name_Hall 'C 2c -2'
_cell_length_a 3.9077
_cell_length_b 16.2104
_cell_length_c 11.6547
_cell_angle_alpha 90.00
_cell_angle_beta 90.00
_cell_angle_gamma 90.00
loop_
_atom_site_label
_atom_site_type_symbol
_atom_site_fract_x
_atom_site_fract_y
_atom_site_fract_z
Li1 Li 0.0000 0.0383 0.0000
Pm1 Pm 0.0000 0.3709 0.8324
Pm2 Pm 0.0000 0.3944 0.2166
Sc1 Sc 0.0000 0.3003 0.5401
S1 S 0.0000 0.0029 0.3105
S2 S 0.0000 0.1394 0.5305
S3 S 0.0000 0.1902 0.8889
S4 S 0.0000 0.2177 0.1913
S5 S 0.0000 0.4457 0.5989
```

Largest 10 diffraction maxima, sorted by position, 2θ from 10° to 90°:
2θ (°), d (Å), I (rel.), index
15.2, 5.827, 49, 0 0 2
21.9, 4.053, 38, 0 4 0
23.4, 3.799, 43, 1 1 0
25.4, 3.503, 53, 0 2 3
28.0, 3.182, 30, 1 1 2
33.0, 2.716, 100, 1 1 3
36.0, 2.495, 33, 1 5 0
36.6, 2.453, 30, 1 3 3
39.3, 2.294, 50, 1 5 2
40.3, 2.240, 30, 0 2 5